Simulated powder diffractogram of Zn6Cu3Pt2 for Cu Ka, from a DFT-relaxed cell (GGA-PBE, Alexandria).
No peak broadening, texture or thermal motion is included.

Structure:
a = 4.614 Å, b = 6.055 Å, c = 6.141 Å
α = 107.47°, β = 105.64°, γ = 97.69°
Space group P1 (No. 1)
Symmetry-distinct sites (fractional):
Zn1 0.000 0.000 0.000
Zn2 0.092 0.816 0.347
Zn3 0.192 0.631 0.730
Zn4 0.444 0.092 0.810
Zn5 0.804 0.366 0.266
Zn6 0.896 0.189 0.624
Cu1 0.272 0.443 0.090
Cu2 0.344 0.268 0.439
Cu3 0.541 0.914 0.175
Pt1 0.643 0.743 0.540
Pt2 0.727 0.539 0.906

Peak list (10 most intense, 10 to 90 degrees two-theta, by angle)
- (0 1 0), 2θ = 15.78°, intensity 17
- (1 0 0), 2θ = 20.56°, intensity 15
- (0 2 1), 2θ = 40.80°, intensity 100
- (1 -1 2), 2θ = 40.97°, intensity 49
- (-2 1 1), 2θ = 41.17°, intensity 49
- (1 0 -3), 2θ = 46.78°, intensity 34
- (1 -3 1), 2θ = 47.52°, intensity 32
- (2 1 0), 2θ = 48.57°, intensity 30
- (3 1 -3), 2θ = 69.81°, intensity 11
- (-1 2 4), 2θ = 82.77°, intensity 12

Simulated powder diffractogram of Be5GaCo6 for Cu Ka, from a DFT-relaxed cell (GGA-PBE, Alexandria).
No peak broadening, texture or thermal motion is included.

Structure:
a = 3.747 Å, b = 11.224 Å, c = 5.325 Å
α = 90.00°, β = 90.00°, γ = 90.00°
Space group Cmmm (No. 65)
Symmetry-distinct sites (fractional):
Be1 0.000 0.000 0.000
Be2 0.000 0.333 0.500
Be3 0.000 0.336 0.000
Ga1 0.000 0.000 0.500
Co1 0.000 0.173 0.241
Co2 0.000 0.500 0.235

Peak list (10 most intense, 10 to 90 degrees two-theta, by angle)
- (1 1 1), 2θ = 30.23°, intensity 9
- (0 0 2), 2θ = 33.66°, intensity 23
- (1 3 0), 2θ = 33.86°, intensity 47
- (1 3 1), 2θ = 37.95°, intensity 8
- (1 3 2), 2θ = 48.49°, intensity 100
- (2 0 0), 2θ = 48.63°, intensity 50
- (2 0 2), 2θ = 60.45°, intensity 15
- (0 0 4), 2θ = 70.78°, intensity 7
- (2 6 0), 2θ = 71.23°, intensity 14
- (3 3 0), 2θ = 81.16°, intensity 8